For Na2Ga5Au3, the PBE geometry in Alexandria gives the theoretical X-ray diffraction stick pattern in this record (Cu Kα X-rays).
Peak positions follow from Bragg's law for the DFT cell and can differ from measured ones.

```
data_Na2Ga5Au3
_cell_length_a 4.4798
_cell_length_b 25.1644
_cell_length_c 7.0065
_cell_angle_alpha 90.00
_cell_angle_beta 90.00
_cell_angle_gamma 90.00
_space_group_name_H-M_alt 'C m c 21'
_space_group_IT_number 36
loop_
_space_group_symop_operation_xyz
'x,y,z'
'-x,-y,z+1/2'
'-x,y,z'
'x,-y,z+1/2'
'x+1/2,y+1/2,z'
'-x+1/2,-y+1/2,z+1/2'
'-x+1/2,y+1/2,z'
'x+1/2,-y+1/2,z+1/2'
loop_
_atom_site_label
_atom_site_fract_x
_atom_site_fract_y
_atom_site_fract_z
Na1 0.0000 0.0162 0.0000
Na2 0.0000 0.3235 0.9560
Ga1 0.0000 0.1057 0.6564
Ga2 0.0000 0.2061 0.1485
Ga3 0.0000 0.2066 0.7459
Ga4 0.0000 0.3788 0.5109
Ga5 0.0000 0.4500 0.8289
Au1 0.0000 0.1065 0.2637
Au2 0.0000 0.2746 0.4408
Au3 0.0000 0.4482 0.2152
```

Peak list (8 most intense, 2θ = 10–90°, by angle)
hkl, 2θ/deg, I (rel.)
0 6 0, 21.18, 45.0
1 1 1, 23.84, 70.1
0 6 1, 24.74, 49.7
1 3 2, 34.21, 100.0
1 7 1, 34.45, 48.9
2 0 0, 40.26, 74.9
1 3 3, 45.10, 76.2
1 9 2, 46.22, 96.0